For LiMg6BO7, the PBE geometry in the Materials Project gives the theoretical X-ray powder pattern in this record (Cu Kα, 1.54184 Å).
Intensities are scaled so that the largest is 100.

Atomic structure:
a b c (Å): 4.1824 4.1824 8.4719
angles (deg): 90.00 90.00 90.00
Space group P4mm (No. 99)
Symmetry-distinct sites (fractional):
Li 0.0000 0.0000 0.0000 x1
Mg 0.0000 0.0000 0.5023 x1
Mg 0.0000 0.5000 0.2281 x2
Mg 0.0000 0.5000 0.7684 x2
Mg 0.5000 0.5000 0.4943 x1
B 0.5000 0.5000 0.9809 x1
O 0.0000 0.0000 0.2587 x1
O 0.0000 0.0000 0.7448 x1
O 0.0000 0.5000 0.0004 x2
O 0.0000 0.5000 0.5084 x2
O 0.5000 0.5000 0.8100 x1

The 8 most intense peaks (2θ = 10–90°), in order of rising 2θ:
two_theta  Rel. int.
10.4  16
32.1  15
37.1  14
42.7  42
43.3  100
62.4  45
62.8  28
79.0  20